This entry pairs a crystal structure of Li2Cd4Ag with its calculated XRD peak list. Radiation: Cu Kα (weighted mean of Kα1 and Kα2). Structure: a crystal structure in Alexandria, relaxed with PBE.
Neutral-atom scattering factors, no anomalous dispersion.

Most intense lines, 15 to 90 degrees two-theta, low angle first:
hkl 0 1 1, 18.4°, I = 89.6
hkl 2 0 0, 33.2°, I = 45.6
hkl 1 0 2, 36.4°, I = 79.6
hkl 0 2 2, 37.4°, I = 18.1
hkl 2 1 1, 38.2°, I = 33.5
hkl 1 4 0, 41.1°, I = 100.0
hkl 1 6 0, 60.2°, I = 17.0
hkl 3 0 2, 61.4°, I = 14.8
hkl 3 4 0, 64.6°, I = 16.6
hkl 0 0 4, 67.4°, I = 17.3

Cell: 5.4009 9.6249 5.5610 Å, 90.00 90.14 90.00°
Space group P2_1/c (No. 14)
Unique sites:
Li  0.2487  0.0038  0.0006
Cd  0.0099  0.7499  0.2505
Cd  0.4933  0.1600  0.4988
Ag  0.0000  0.0000  0.5000

***

This entry pairs a crystal structure of Mg4Sc5Cd2 with its calculated XRD peak list. Radiation: Cu Kα (weighted mean of Kα1 and Kα2). Structure: a crystal structure in Alexandria, relaxed with PBE.
Neutral-atom scattering factors, no anomalous dispersion.

Most intense lines, 15 to 90 degrees two-theta, low angle first:
hkl 1 3 0, 18.1°, I = 73.0
hkl 0 2 1, 27.8°, I = 31.0
hkl 1 4 1, 34.5°, I = 100.0
hkl 3 2 0, 34.9°, I = 37.8
hkl 1 7 0, 35.7°, I = 45.2
hkl 2 2 1, 35.8°, I = 89.4
hkl 3 3 0, 36.7°, I = 36.4
hkl 1 5 1, 37.5°, I = 100.0
hkl 0 8 0, 38.9°, I = 31.3
hkl 3 6 0, 44.8°, I = 21.4

Cell: 8.0213 18.5432 3.4184 Å, 90.00 90.00 90.00°
Space group Pbam (No. 55)
Unique sites:
Mg  0.0794  0.1486  0.0000
Mg  0.2075  0.4331  0.0000
Sc  0.0000  0.0000  0.5000
Sc  0.1270  0.5691  0.5000
Sc  0.2435  0.7915  0.5000
Cd  0.0440  0.6954  0.0000